1.
Computed powder X-ray diffraction pattern of PmEr4In4 for Cu Kα X-rays, from a PBE-relaxed structure.
No peak broadening, texture or thermal motion is included.

Peak list (10 most intense, 10° ≤ 2θ ≤ 80°, low angle first)
2θ 14.9, intensity 20, hkl 1 0 1
2θ 28.4, intensity 18, hkl 1 0 3
2θ 28.9, intensity 100, hkl 2 1 1
2θ 35.1, intensity 47, hkl 2 2 0
2θ 35.8, intensity 100, hkl 2 0 3
2θ 36.5, intensity 29, hkl 1 0 4
2θ 44.5, intensity 15, hkl 2 1 4
2θ 50.6, intensity 26, hkl 4 0 0
2θ 57.9, intensity 22, hkl 3 2 4
2θ 63.5, intensity 36, hkl 4 2 3

Structure:
a b c (Å): 7.2218 7.2218 10.4837
angles (deg): 90.00 90.00 90.00
Space group P4_2/nmc (No. 137, origin choice 2)
Symmetry-distinct sites (fractional):
Pm  0.2500  0.7500  0.2500 [2 per cell]
Er  0.0171  0.2500  0.1611 [8 per cell]
In  0.0372  0.2500  0.4590 [8 per cell]



2.
Computed powder X-ray diffraction pattern of MgBeGeO4 for Cu Kα X-rays, from a PBE-relaxed structure.
No peak broadening, texture or thermal motion is included.

Peak list (10 most intense, 10° ≤ 2θ ≤ 80°, low angle first)
2θ 22.7, intensity 82, hkl 1 0 1
2θ 24.1, intensity 44, hkl 0 0 2
2θ 27.4, intensity 60, hkl 1 1 0
2θ 36.7, intensity 100, hkl 1 1 2
2θ 45.7, intensity 18, hkl 1 2 1
2θ 46.4, intensity 31, hkl 2 0 2
2θ 56.4, intensity 19, hkl 2 2 0
2θ 57.3, intensity 17, hkl 1 1 4
2θ 64.6, intensity 27, hkl 2 0 4
2θ 69.3, intensity 24, hkl 3 1 2

Structure:
a b c (Å): 4.6114 4.6114 7.3989
angles (deg): 90.00 90.00 90.00
Space group I-4 (No. 82)
Symmetry-distinct sites (fractional):
Mg  0.0000  0.0000  0.0000 [2 per cell]
Be  0.0000  0.5000  0.7500 [2 per cell]
Ge  0.0000  0.0000  0.5000 [2 per cell]
O  0.1845  0.2719  0.6262 [8 per cell]



3.
Computed powder X-ray diffraction pattern of Li3TbRh2 for Cu Kα X-rays, from a PBE-relaxed structure.
No peak broadening, texture or thermal motion is included.

Peak list (10 most intense, 10° ≤ 2θ ≤ 80°, low angle first)
2θ 12.2, intensity 100, hkl 0 0 1
2θ 27.5, intensity 29, hkl 1 1 1
2θ 29.6, intensity 17, hkl 3 1 -1
2θ 30.8, intensity 13, hkl 1 1 -2
2θ 31.5, intensity 36, hkl 3 1 0
2θ 35.5, intensity 14, hkl 4 0 -3
2θ 38.2, intensity 21, hkl 4 0 1
2θ 40.6, intensity 40, hkl 1 1 -3
2θ 41.1, intensity 27, hkl 5 1 -2
2θ 43.5, intensity 20, hkl 0 2 0

Structure:
a b c (Å): 13.1788 4.1638 8.2171
angles (deg): 90.00 117.71 90.00
Space group C2/m (No. 12)
Symmetry-distinct sites (fractional):
Li  0.0575  0.0000  0.3818 [4 per cell]
Li  0.0792  0.5000  0.6820 [4 per cell]
Li  0.2230  0.5000  0.5511 [4 per cell]
Tb  0.1417  0.0000  0.0204 [4 per cell]
Rh  0.0689  0.5000  0.1805 [4 per cell]
Rh  0.2100  0.0000  0.7396 [4 per cell]



4.
Computed powder X-ray diffraction pattern of Mg5In2Au2 for Cu Kα X-rays, from a PBE-relaxed structure.
No peak broadening, texture or thermal motion is included.

Peak list (10 most intense, 10° ≤ 2θ ≤ 80°, low angle first)
2θ 11.9, intensity 78, hkl 2 0 0
2θ 23.9, intensity 80, hkl 4 0 0
2θ 24.8, intensity 91, hkl 3 1 1
2θ 27.0, intensity 100, hkl 2 0 2
2θ 27.7, intensity 58, hkl 1 1 2
2θ 29.6, intensity 74, hkl 2 2 1
2θ 32.6, intensity 80, hkl 3 1 2
2θ 36.4, intensity 72, hkl 4 2 1
2θ 39.1, intensity 93, hkl 1 1 3
2θ 49.6, intensity 69, hkl 5 1 3

Structure:
a b c (Å): 14.8933 7.3841 7.3697
angles (deg): 90.00 90.00 90.00
Space group Cmce (No. 64)
Symmetry-distinct sites (fractional):
Mg  0.0000  0.0000  0.0000 [4 per cell]
Mg  0.1186  0.1620  0.3365 [16 per cell]
In  0.2154  0.0000  0.0000 [8 per cell]
Au  0.0000  0.1388  0.6397 [8 per cell]



Q: Which formula does entry 1 have?
A: PmEr4In4



Q: Which formula does entry 4 have?
A: Mg5In2Au2